1.
Computed powder X-ray diffraction pattern of AcNbMoO6 for Cu Kα, 1.54184 Å, from a DFT-relaxed cell (GGA+U, Alexandria).
Lines closer than 0.1° are merged.

Crystal structure
```
data_AcNbMoO6
_symmetry_space_group_name_H-M 'P 42 n m'
_symmetry_Int_Tables_number 102
_cell_length_a 5.0665
_cell_length_b 5.0665
_cell_length_c 10.1126
_cell_angle_alpha 90.00
_cell_angle_beta 90.00
_cell_angle_gamma 90.00
loop_
_symmetry_equiv_pos_as_xyz
'x,y,z'
'-y+1/2,x+1/2,z+1/2'
'-x,-y,z'
'y+1/2,-x+1/2,z+1/2'
'-x+1/2,y+1/2,z+1/2'
'y,x,z'
'x+1/2,-y+1/2,z+1/2'
'-y,-x,z'
loop_
_atom_site_label
_atom_site_fract_x
_atom_site_fract_y
_atom_site_fract_z
Ac1 0.0000 0.0000 0.0000
Nb1 0.0000 0.0000 0.3374
Mo1 0.0000 0.0000 0.6717
O1 0.1677 0.1677 0.5010
O2 0.2163 0.2163 0.1996
O3 0.2244 0.2244 0.8094
```

Peak list (10 most intense, 10 to 80 degrees two-theta, low angle first)
19.60 deg, intensity 22, hkl 1 0 1; 24.85 deg, intensity 100, hkl 1 1 0; 31.89 deg, intensity 87, hkl 1 0 3; 35.44 deg, intensity 28, hkl 2 0 0; 48.41 deg, intensity 70, hkl 2 1 3; 50.99 deg, intensity 19, hkl 2 2 0; 57.52 deg, intensity 17, hkl 3 1 0; 60.71 deg, intensity 19, hkl 1 1 6; 61.41 deg, intensity 22, hkl 3 0 3; 72.94 deg, intensity 17, hkl 3 2 3

2.
Computed powder X-ray diffraction pattern of AcNiMo2O8 for Cu Kα, 1.54184 Å, from a DFT-relaxed cell (GGA+U, Alexandria).
Lines closer than 0.1° are merged.

Crystal structure
```
data_AcNiMo2O8
_symmetry_space_group_name_H-M 'R -3'
_symmetry_Int_Tables_number 148
_symmetry_space_group_name_Hall '-R 3'
_cell_length_a 5.3617
_cell_length_b 5.3617
_cell_length_c 18.1338
_cell_angle_alpha 90.00
_cell_angle_beta 90.00
_cell_angle_gamma 120.00
loop_
_atom_site_label
_atom_site_fract_x
_atom_site_fract_y
_atom_site_fract_z
Ac1 0.0000 0.0000 0.0000
Ni1 0.0000 0.0000 0.5000
Mo1 0.0000 0.0000 0.2019
O1 0.0000 0.0000 0.3029
O2 0.0195 0.2925 0.1180
```

Peak list (10 most intense, 10 to 80 degrees two-theta, low angle first)
19.74 deg, intensity 74, hkl 1 0 1; 27.50 deg, intensity 87, hkl 1 0 4; 31.30 deg, intensity 47, hkl 0 1 5; 33.42 deg, intensity 100, hkl 1 1 0; 43.81 deg, intensity 32, hkl 0 2 4; 45.21 deg, intensity 51, hkl 1 1 6; 46.44 deg, intensity 22, hkl 2 0 5; 54.31 deg, intensity 29, hkl 1 0 10; 56.20 deg, intensity 29, hkl 2 1 4; 59.75 deg, intensity 26, hkl 3 0 0

3.
Computed powder X-ray diffraction pattern of Ac2MoO5 for Cu Kα, 1.54184 Å, from a DFT-relaxed cell (GGA+U, Alexandria).
Lines closer than 0.1° are merged.

Crystal structure
```
data_Ac2MoO5
_symmetry_space_group_name_H-M 'C 1 2/c 1'
_symmetry_Int_Tables_number 15
_cell_length_a 11.8926
_cell_length_b 5.7954
_cell_length_c 8.0548
_cell_angle_alpha 90.00
_cell_angle_beta 110.48
_cell_angle_gamma 90.00
loop_
_symmetry_equiv_pos_as_xyz
'x,y,z'
'-x,-y,-z'
'-x,y,-z+1/2'
'x,-y,z+1/2'
'x+1/2,y+1/2,z'
'-x+1/2,-y+1/2,-z'
'-x+1/2,y+1/2,-z+1/2'
'x+1/2,-y+1/2,z+1/2'
loop_
_atom_site_label
_atom_site_fract_x
_atom_site_fract_y
_atom_site_fract_z
Ac1 0.1695 0.0239 0.3317
Mo1 0.0000 0.5000 0.0000
O1 0.0000 0.3952 0.2500
O2 0.1374 0.2662 0.0425
O3 0.1460 0.2552 0.5931
```

Peak list (10 most intense, 10 to 80 degrees two-theta, low angle first)
26.96 deg, intensity 100, hkl 1 1 -2; 28.55 deg, intensity 93, hkl 3 1 0; 30.86 deg, intensity 27, hkl 0 2 0; 32.60 deg, intensity 24, hkl 4 0 -2; 33.00 deg, intensity 24, hkl 2 0 2; 45.02 deg, intensity 17, hkl 2 0 -4; 45.50 deg, intensity 29, hkl 4 2 -2; 45.81 deg, intensity 28, hkl 2 2 2; 53.91 deg, intensity 16, hkl 5 1 -4; 54.45 deg, intensity 16, hkl 1 1 4

4.
Computed powder X-ray diffraction pattern of AcMoO6 for Cu Kα, 1.54184 Å, from a DFT-relaxed cell (GGA+U, Alexandria).
Lines closer than 0.1° are merged.

Crystal structure
```
data_AcMoO6
_symmetry_space_group_name_H-M 'P 1'
_symmetry_Int_Tables_number 1
_cell_length_a 4.1078
_cell_length_b 5.8993
_cell_length_c 5.9788
_cell_angle_alpha 66.19
_cell_angle_beta 71.36
_cell_angle_gamma 71.19
loop_
_symmetry_equiv_pos_as_xyz
'x,y,z'
loop_
_atom_site_label
_atom_site_fract_x
_atom_site_fract_y
_atom_site_fract_z
Ac1 0.0000 0.0000 0.0000
Mo1 0.4725 0.4604 0.4613
O1 0.0388 0.4573 0.4578
O2 0.4778 0.7963 0.2575
O3 0.4797 0.2561 0.7934
O4 0.5947 0.7451 0.7502
O5 0.7189 0.2680 0.2718
O6 0.9188 0.7445 0.7517
```

Peak list (10 most intense, 10 to 80 degrees two-theta, low angle first)
19.31 deg, intensity 100, hkl 0 1 1; 25.68 deg, intensity 90, hkl 1 0 1; 27.51 deg, intensity 57, hkl 0 1 -1; 31.79 deg, intensity 28, hkl 1 0 -1; 32.01 deg, intensity 28, hkl 1 -1 0; 32.62 deg, intensity 22, hkl 1 1 2; 32.91 deg, intensity 21, hkl 1 2 1; 39.21 deg, intensity 23, hkl 0 2 2; 47.54 deg, intensity 19, hkl 1 -1 2; 47.92 deg, intensity 23, hkl 2 0 0

5.
Computed powder X-ray diffraction pattern of AcMoO5 for Cu Kα, 1.54184 Å, from a DFT-relaxed cell (GGA+U, Alexandria).
Lines closer than 0.1° are merged.

Crystal structure
```
data_AcMoO5
_symmetry_space_group_name_H-M 'P 4/n m m'
_symmetry_Int_Tables_number 129
_cell_length_a 7.9790
_cell_length_b 7.9790
_cell_length_c 4.5902
_cell_angle_alpha 90.00
_cell_angle_beta 90.00
_cell_angle_gamma 90.00
loop_
_symmetry_equiv_pos_as_xyz
'x,y,z'
'-x,-y,-z'
'-y+1/2,x,z'
'y+1/2,-x,-z'
'-x+1/2,-y+1/2,z'
'x+1/2,y+1/2,-z'
'y,-x+1/2,z'
'-y,x+1/2,-z'
'x+1/2,-y,-z'
'-x+1/2,y,z'
'-y,-x,-z'
'y,x,z'
'-x,y+1/2,-z'
'x,-y+1/2,z'
'y+1/2,x+1/2,-z'
'-y+1/2,-x+1/2,z'
loop_
_atom_site_label
_atom_site_fract_x
_atom_site_fract_y
_atom_site_fract_z
Ac1 0.2500 0.2500 0.2279
Mo1 0.2500 0.7500 0.5000
O1 0.0650 0.7500 0.7229
O2 0.2500 0.2500 0.7293
```

Peak list (10 most intense, 10 to 80 degrees two-theta, low angle first)
15.71 deg, intensity 12, hkl 1 1 0; 22.31 deg, intensity 100, hkl 2 0 0; 25.01 deg, intensity 12, hkl 1 1 1; 31.74 deg, intensity 36, hkl 2 2 0; 39.14 deg, intensity 15, hkl 3 0 1; 42.52 deg, intensity 16, hkl 1 1 2; 45.49 deg, intensity 22, hkl 4 0 0; 51.21 deg, intensity 17, hkl 4 2 0; 54.01 deg, intensity 19, hkl 3 1 2; 61.53 deg, intensity 10, hkl 4 3 1

6.
Computed powder X-ray diffraction pattern of Ac2MoO5 for Cu Kα, 1.54184 Å, from a DFT-relaxed cell (GGA+U, Alexandria).
Lines closer than 0.1° are merged.

Crystal structure
```
data_Ac2MoO5
_symmetry_space_group_name_H-M 'C 1 2 1'
_symmetry_Int_Tables_number 5
_cell_length_a 10.9056
_cell_length_b 4.6006
_cell_length_c 6.9644
_cell_angle_alpha 90.00
_cell_angle_beta 122.57
_cell_angle_gamma 90.00
loop_
_symmetry_equiv_pos_as_xyz
'x,y,z'
'-x,y,-z'
'x+1/2,y+1/2,z'
'-x+1/2,y+1/2,-z'
loop_
_atom_site_label
_atom_site_fract_x
_atom_site_fract_y
_atom_site_fract_z
Ac1 0.2069 0.0000 0.2394
Mo1 0.0000 0.0286 0.5000
O1 0.0000 0.4544 0.5000
O2 0.0455 0.9555 0.8190
O3 0.2254 0.0048 0.6193
```

Peak list (10 most intense, 10 to 80 degrees two-theta, low angle first)
19.32 deg, intensity 45, hkl 2 0 0; 21.60 deg, intensity 58, hkl 1 1 0; 23.22 deg, intensity 92, hkl 1 1 -1; 25.76 deg, intensity 82, hkl 2 0 -2; 29.36 deg, intensity 100, hkl 1 1 1; 30.47 deg, intensity 46, hkl 0 0 2; 31.37 deg, intensity 61, hkl 3 1 -1; 33.36 deg, intensity 47, hkl 4 0 -1; 39.17 deg, intensity 67, hkl 0 2 0; 46.32 deg, intensity 61, hkl 1 1 -3